Starting from DFT lattice parameters and positions (PBE), the X-ray powder pattern of K2FeBr2Cl2 was computed for Cu Ka.
Intensities are scaled so that the largest is 100.

Top 6 peaks for 5° ≤ 2θ ≤ 70°, low angle first:
13.2 deg, intensity 57, (0 0 2)
28.1 deg, intensity 28, (0 2 2)
29.2 deg, intensity 53, (1 0 3)
33.4 deg, intensity 100, (1 2 1)
36.5 deg, intensity 22, (0 2 4)
47.4 deg, intensity 32, (1 2 5)

Structural model:
```
data_K2FeBr2Cl2
_chemical_formula_sum 'K4 Fe2 Br4 Cl4'
_space_group_name_H-M_alt 'I m m m'
_space_group_IT_number 71
_space_group_name_Hall '-I 2 2'
_cell_length_a 4.193
_cell_length_b 7.217
_cell_length_c 13.435
_cell_angle_alpha 90.00
_cell_angle_beta 90.00
_cell_angle_gamma 90.00
loop_
_atom_site_label
_atom_site_type_symbol
_atom_site_fract_x
_atom_site_fract_y
_atom_site_fract_z
_atom_site_occupancy
K1 K 0.000 0.000 0.155 1
Fe1 Fe 0.000 0.500 0.000 1
Br1 Br 0.000 0.247 0.500 1
Cl1 Cl 0.000 0.500 0.176 1
```